For LiScSbO, the PBE geometry in Alexandria gives the computed powder XRD pattern in this record (Cu Ka).

Structure:
Lattice parameters (Å, degrees): 3.970 4.270 4.460 90.00 90.00 90.00
Space group Pmmm (No. 47)
Inequivalent atoms, fractional coordinates:
Li (0.000, 0.000, 0.000) [1 per cell]
Sc (0.500, 0.500, 0.000) [1 per cell]
Sb (0.500, 0.000, 0.500) [1 per cell]
O (0.000, 0.500, 0.000) [1 per cell]

Top 10 peaks for 2θ from 5° to 70°, low angle first:
hkl 1 0 0, 22.4°, intensity 615
hkl 0 1 1, 28.9°, intensity 1000
hkl 1 0 1, 30.1°, intensity 271
hkl 1 1 0, 30.7°, intensity 206
hkl 1 1 1, 36.9°, intensity 775
hkl 0 0 2, 40.5°, intensity 218
hkl 0 2 0, 42.3°, intensity 190
hkl 1 0 2, 46.7°, intensity 172
hkl 1 2 0, 48.4°, intensity 154
hkl 2 1 1, 55.0°, intensity 299